# LiReAs2
Theoretical powder X-ray diffraction pattern, Cu Kα, 1.54184 Å. Input: DFT lattice parameters and positions (PBE).
Intensities are scaled so that the largest is 100.

Peak list (8 most intense, 10° ≤ 2θ ≤ 80°, low angle first)
19.0°, I 79; 20.1°, I 82; 35.0°, I 48; 36.1°, I 100; 38.6°, I 31; 40.8°, I 43; 44.8°, I 63; 47.6°, I 34

Cell and atoms:
Lattice parameters (Å, degrees): 4.720 4.720 4.688 95.39 95.39 39.59
Fractional positions:
Li (0.000, 0.000, 0.000)
Re (0.778, 0.778, 0.369)
As (0.269, 0.269, 0.964)
As (0.499, 0.499, 0.497)